Calculated X-ray diffraction stick pattern
Compound: RbCrSbF6
Radiation: Cu Kα
Structure: the PBE+U geometry in Alexandria
Neutral-atom scattering factors, no anomalous dispersion.

The 6 most intense peaks (15 to 90 degrees two-theta), sorted by position:
(hkl), Position (°2θ), I/Imax
1 0 0, 16.87, 75
1 0 -1, 23.30, 59
1 0 1, 23.54, 44
1 1 0, 24.07, 46
1 -1 1, 24.57, 100
0 1 1, 28.15, 44

Structure:
Unit cell a=5.2597 b=5.7847 c=6.0708 alpha=115.28 beta=90.48 gamma=90.11
Positions (direct):
Rb1 0.0000 0.0000 0.0000
Cr1 0.5680 0.3293 0.6826
Sb1 0.5088 0.6829 0.3431
F1 0.3679 0.6021 0.9502
F2 0.3690 0.3384 0.3242
F3 0.4136 0.0559 0.7510
F4 0.7357 0.6085 0.5970
F5 0.7742 0.0313 0.4381
F6 0.7963 0.5032 0.1222